This entry pairs a crystal structure of UMnAlO6 with its theoretical powder diffraction line list. Radiation: Cu Kα, 1.54184 Å. Structure: a DFT-relaxed cell (GGA+U, Alexandria).

Most intense lines, 10 to 90 degrees two-theta, low angle first:
two_theta, intensity
19.93, 33
22.09, 100
28.15, 70
34.43, 41
36.21, 34
40.10, 36
41.29, 25
45.05, 19
54.18, 41
54.82, 21

Atomic structure:
Unit cell a=5.2089 b=5.2089 c=8.9107 alpha=90.00 beta=90.00 gamma=120.00
Space group P-31c (No. 163)
Symmetry-distinct sites (fractional):
U: 0.3333 0.6667 0.2500 x2
Mn: 0.0000 0.0000 0.0000 x2
Al: 0.3333 0.6667 0.7500 x2
O: 0.0223 0.3530 0.6326 x12